For Ta4AlGa, a cell relaxed with PBE gives the calculated PXRD pattern in this record (Cu Kα, 1.54184 Å).
Intensities are scaled so that the largest is 100.

a b c (Å): 6.341 6.341 5.130
angles (deg): 90.00 90.00 90.00
Fractional positions:
Ta: 0.156 0.343 0.000
Ta: 0.156 0.657 0.500
Ta: 0.343 0.156 0.500
Ta: 0.343 0.844 0.000
Ta: 0.657 0.156 0.000
Ta: 0.657 0.844 0.500
Ta: 0.844 0.343 0.500
Ta: 0.844 0.657 0.000
Al: 0.500 0.500 0.250
Al: 0.500 0.500 0.750
Ga: 0.000 0.000 0.250
Ga: 0.000 0.000 0.750

The 10 most intense peaks (2θ from 10° to 90°), by angle:
2θ/deg	I_rel	hkl
35.0	17	0 0 2
36.2	100	2 1 1
40.5	12	1 1 2
45.2	21	3 1 0
45.5	12	2 0 2
63.1	12	4 1 1
63.5	20	2 1 3
69.7	9	4 0 2
73.3	13	3 3 2
84.4	13	5 2 1